# K2CaAsO4
Calculated XRD peak list, Cu Kα X-rays. Input: a cell relaxed with PBE.
Kinematic intensities with the Lorentz-polarization factor, no thermal factor.

Cell and atoms:
```
K2CaAsO4
1.0
0.0000 6.2732 11.4211
2.9226 0.0000 11.4211
2.9226 6.2732 0.0000
K Ca As O
4 2 2 8
Direct
0.0654 0.0654 0.6846
0.3154 0.3154 0.9346
0.6846 0.6846 0.0654
0.9346 0.9346 0.3154
0.1250 0.1250 0.1250
0.8750 0.8750 0.8750
0.3750 0.3750 0.3750
0.6250 0.6250 0.6250
0.0599 0.6155 0.5179
0.3066 0.5179 0.6155
0.3845 0.9401 0.6934
0.4821 0.6934 0.9401
0.5179 0.3066 0.0599
0.6155 0.0599 0.3066
0.6934 0.4821 0.3845
0.9401 0.3845 0.4821
```

Main lines, sorted by position (10 to 90 degrees two-theta):
15.52°, d = 5.711 Å, I = 100; 16.12°, d = 5.498 Å, I = 50; 20.42°, d = 4.349 Å, I = 39; 27.40°, d = 3.255 Å, I = 54; 28.46°, d = 3.137 Å, I = 21; 28.75°, d = 3.105 Å, I = 34; 33.84°, d = 2.649 Å, I = 31; 37.42°, d = 2.403 Å, I = 19; 38.85°, d = 2.318 Å, I = 17; 42.10°, d = 2.146 Å, I = 14; 48.85°, d = 1.864 Å, I = 21; 53.91°, d = 1.701 Å, I = 14

# KCaAsO12
Calculated XRD peak list, Cu Kα X-rays. Input: a cell relaxed with PBE.
Kinematic intensities with the Lorentz-polarization factor, no thermal factor.

Cell and atoms:
```
KCaAsO12
1.0
8.2647 0.0000 0.0000
0.0000 5.3922 0.0000
-4.0842 0.0000 7.5774
K Ca As O
1 1 1 12
Direct
0.0000 0.0000 0.0000
0.7019 0.0000 0.2200
0.8452 0.5000 0.1404
0.0587 0.5000 0.1548
0.3068 0.3858 0.6208
0.3068 0.6142 0.6208
0.3740 0.3854 0.0669
0.3740 0.6146 0.0669
0.5198 0.0000 0.3961
0.5721 0.0000 0.5577
0.7287 0.2378 0.0295
0.7287 0.7622 0.0295
0.8275 0.5000 0.3340
0.9233 0.3859 0.7037
0.9233 0.6141 0.7037
```

Main lines, sorted by position (10 to 90 degrees two-theta):
11.68°, d = 7.577 Å, I = 100; 12.18°, d = 7.267 Å, I = 96; 20.54°, d = 4.324 Å, I = 86; 23.48°, d = 3.789 Å, I = 33; 28.80°, d = 3.100 Å, I = 22; 29.62°, d = 3.016 Å, I = 39; 29.74°, d = 3.004 Å, I = 44; 33.02°, d = 2.713 Å, I = 16; 33.23°, d = 2.696 Å, I = 17; 35.73°, d = 2.513 Å, I = 17; 37.12°, d = 2.422 Å, I = 17; 39.39°, d = 2.287 Å, I = 24

# K3CaAs2O8
Calculated XRD peak list, Cu Kα X-rays. Input: a cell relaxed with PBE.
Kinematic intensities with the Lorentz-polarization factor, no thermal factor.

Cell and atoms:
```
K3CaAs2O8
1.0
6.0026 0.0000 0.0000
-3.0013 5.1984 0.0000
0.0000 0.0000 7.7277
K Ca As O
3 1 2 8
Direct
0.0000 0.0000 0.0000
0.3333 0.6667 0.6837
0.6667 0.3333 0.3163
0.0000 0.0000 0.5000
0.3333 0.6667 0.2396
0.6667 0.3333 0.7604
0.1778 0.3557 0.3167
0.1778 0.8222 0.3167
0.3333 0.6667 0.0183
0.3557 0.1778 0.6833
0.6443 0.8222 0.3167
0.6667 0.3333 0.9817
0.8222 0.1778 0.6833
0.8222 0.6443 0.6833
```

Main lines, sorted by position (10 to 90 degrees two-theta):
20.59°, d = 4.313 Å, I = 53; 23.02°, d = 3.864 Å, I = 16; 28.79°, d = 3.101 Å, I = 63; 29.77°, d = 3.001 Å, I = 100; 39.02°, d = 2.308 Å, I = 12; 41.89°, d = 2.157 Å, I = 43; 47.76°, d = 1.904 Å, I = 9; 52.23°, d = 1.751 Å, I = 20; 52.83°, d = 1.733 Å, I = 18; 56.66°, d = 1.624 Å, I = 18; 61.82°, d = 1.501 Å, I = 19; 69.60°, d = 1.351 Å, I = 9

# KCaAs2O6
Calculated XRD peak list, Cu Kα X-rays. Input: a cell relaxed with PBE.
Kinematic intensities with the Lorentz-polarization factor, no thermal factor.

Cell and atoms:
```
KCaAs2O6
1.0
5.3039 -5.0428 0.0000
5.3039 5.0428 0.0000
-1.8327 0.0000 5.9417
K Ca As O
2 2 4 12
Direct
0.1974 0.8026 0.7500
0.8026 0.1974 0.2500
0.3973 0.6027 0.2500
0.6027 0.3973 0.7500
0.1264 0.2943 0.7744
0.2943 0.1264 0.2744
0.7057 0.8736 0.7256
0.8736 0.7057 0.2256
0.0878 0.6040 0.2903
0.1364 0.1639 0.0078
0.1639 0.1364 0.5078
0.3056 0.4559 0.8628
0.3960 0.9122 0.2097
0.4559 0.3056 0.3628
0.5441 0.6944 0.6372
0.6040 0.0878 0.7903
0.6944 0.5441 0.1372
0.8361 0.8636 0.4922
0.8636 0.8361 0.9922
0.9122 0.3960 0.7097
```

Main lines, sorted by position (10 to 90 degrees two-theta):
17.55°, d = 5.055 Å, I = 41; 23.13°, d = 3.845 Å, I = 32; 24.91°, d = 3.575 Å, I = 23; 26.29°, d = 3.390 Å, I = 100; 27.70°, d = 3.221 Å, I = 21; 27.85°, d = 3.204 Å, I = 40; 30.08°, d = 2.971 Å, I = 64; 30.55°, d = 2.927 Å, I = 25; 31.78°, d = 2.815 Å, I = 56; 35.01°, d = 2.563 Å, I = 20; 38.80°, d = 2.321 Å, I = 27; 50.94°, d = 1.793 Å, I = 18

# KCaAsO12
Calculated XRD peak list, Cu Kα X-rays. Input: a cell relaxed with PBE.
Kinematic intensities with the Lorentz-polarization factor, no thermal factor.

Cell and atoms:
```
KCaAsO12
1.0
4.9053 0.0000 0.0000
0.0000 2.9695 8.7355
0.0000 -2.9695 8.7355
K Ca As O
1 1 1 12
Direct
0.0000 0.0000 0.0000
0.0000 0.2912 0.2912
0.5000 0.4610 0.4610
0.0000 0.5128 0.7203
0.0000 0.7203 0.5128
0.2417 0.3933 0.3933
0.3716 0.5391 0.9724
0.3716 0.9724 0.5391
0.3737 0.1677 0.1677
0.5000 0.2721 0.7545
0.5000 0.7545 0.2721
0.6263 0.1677 0.1677
0.6284 0.5391 0.9724
0.6284 0.9724 0.5391
0.7583 0.3933 0.3933
```

Main lines, sorted by position (10 to 90 degrees two-theta):
15.76°, d = 5.623 Å, I = 60; 20.33°, d = 4.368 Å, I = 24; 24.08°, d = 3.696 Å, I = 18; 27.34°, d = 3.262 Å, I = 25; 28.13°, d = 3.172 Å, I = 100; 30.09°, d = 2.970 Å, I = 10; 31.83°, d = 2.812 Å, I = 10; 36.62°, d = 2.454 Å, I = 16; 39.15°, d = 2.301 Å, I = 11; 41.11°, d = 2.196 Å, I = 22; 43.49°, d = 2.081 Å, I = 12; 55.49°, d = 1.656 Å, I = 10

# K2CaAs2S6
Calculated XRD peak list, Cu Kα X-rays. Input: a cell relaxed with PBE.
Kinematic intensities with the Lorentz-polarization factor, no thermal factor.

Cell and atoms:
```
K2CaAs2S6
1.0
6.1326 -3.5604 0.0000
6.1326 3.5604 0.0000
-4.2546 0.0000 7.0627
K Ca As S
2 1 2 6
Direct
0.2106 0.2106 0.2077
0.7894 0.7894 0.7923
0.0000 0.0000 0.5000
0.4700 0.4700 0.8251
0.5300 0.5300 0.1749
0.1846 0.6904 0.1928
0.2658 0.2658 0.6392
0.3096 0.8154 0.8072
0.6904 0.1846 0.1928
0.7342 0.7342 0.3608
0.8154 0.3096 0.8072
```

Main lines, sorted by position (10 to 90 degrees two-theta):
15.00°, d = 5.905 Å, I = 56; 16.57°, d = 5.351 Å, I = 40; 16.88°, d = 5.253 Å, I = 37; 25.01°, d = 3.560 Å, I = 31; 25.16°, d = 3.540 Å, I = 100; 25.37°, d = 3.510 Å, I = 52; 29.26°, d = 3.052 Å, I = 37; 32.68°, d = 2.740 Å, I = 23; 33.49°, d = 2.676 Å, I = 30; 35.51°, d = 2.528 Å, I = 28; 38.23°, d = 2.354 Å, I = 21; 46.75°, d = 1.943 Å, I = 25

# CaLa3As4
Calculated XRD peak list, Cu Kα X-rays. Input: a cell relaxed with PBE.
Kinematic intensities with the Lorentz-polarization factor, no thermal factor.

Cell and atoms:
```
CaLa3As4
1.0
6.1534 0.0000 0.0000
0.0000 6.1534 0.0000
0.0000 0.0000 6.1534
Ca La As
1 3 4
Direct
0.0000 0.0000 0.0000
0.0000 0.5000 0.5000
0.5000 0.0000 0.5000
0.5000 0.5000 0.0000
0.0000 0.0000 0.5000
0.0000 0.5000 0.0000
0.5000 0.0000 0.0000
0.5000 0.5000 0.5000
```

Main lines, sorted by position (10 to 90 degrees two-theta):
14.39°, d = 6.153 Å, I = 8; 20.41°, d = 4.351 Å, I = 7; 25.07°, d = 3.553 Å, I = 7; 29.02°, d = 3.077 Å, I = 100; 32.54°, d = 2.752 Å, I = 4; 35.74°, d = 2.512 Å, I = 4; 41.51°, d = 2.176 Å, I = 75; 49.10°, d = 1.855 Å, I = 3; 51.44°, d = 1.776 Å, I = 27; 60.15°, d = 1.538 Å, I = 12; 68.15°, d = 1.376 Å, I = 34; 75.72°, d = 1.256 Å, I = 25

# Ca3La2PaAs6
Calculated XRD peak list, Cu Kα X-rays. Input: a cell relaxed with PBE.
Kinematic intensities with the Lorentz-polarization factor, no thermal factor.

Cell and atoms:
```
Ca3La2PaAs6
1.0
3.7464 -6.4976 0.0000
3.7464 6.4976 0.0000
-2.5194 0.0000 6.8273
Ca La Pa As
3 2 1 6
Direct
0.0000 0.0000 0.0000
0.3286 0.6714 0.0000
0.6714 0.3286 0.0000
0.1665 0.8335 0.5000
0.8335 0.1665 0.5000
0.5000 0.5000 0.5000
0.1041 0.4203 0.2603
0.2654 0.2654 0.7401
0.4203 0.1041 0.2603
0.5797 0.8959 0.7397
0.7346 0.7346 0.2599
0.8959 0.5797 0.7397
```

Main lines, sorted by position (10 to 90 degrees two-theta):
12.97°, d = 6.827 Å, I = 29; 24.13°, d = 3.688 Å, I = 18; 29.53°, d = 3.025 Å, I = 100; 39.04°, d = 2.307 Å, I = 9; 41.73°, d = 2.164 Å, I = 38; 42.73°, d = 2.116 Å, I = 24; 42.85°, d = 2.111 Å, I = 12; 43.88°, d = 2.063 Å, I = 10; 51.90°, d = 1.762 Å, I = 13; 68.71°, d = 1.366 Å, I = 12; 70.17°, d = 1.341 Å, I = 10; 76.83°, d = 1.241 Å, I = 8

# CaLaY2As4
Calculated XRD peak list, Cu Kα X-rays. Input: a cell relaxed with PBE.
Kinematic intensities with the Lorentz-polarization factor, no thermal factor.

Cell and atoms:
```
CaLaY2As4
1.0
7.2637 0.0000 0.0000
0.0000 4.2166 0.0000
-2.4291 0.0000 6.9612
Ca La Y As
1 1 2 4
Direct
0.0000 0.0000 0.0000
0.5000 0.5000 0.0000
0.0000 0.5000 0.5000
0.5000 0.0000 0.5000
0.2443 0.0000 0.7367
0.2538 0.5000 0.2628
0.7462 0.5000 0.7372
0.7557 0.0000 0.2633
```

Main lines, sorted by position (10 to 90 degrees two-theta):
29.91°, d = 2.987 Å, I = 100; 42.61°, d = 2.122 Å, I = 37; 42.90°, d = 2.108 Å, I = 12; 43.08°, d = 2.100 Å, I = 24; 52.59°, d = 1.740 Å, I = 6; 53.20°, d = 1.722 Å, I = 13; 53.44°, d = 1.715 Å, I = 6; 62.11°, d = 1.494 Å, I = 8; 70.16°, d = 1.341 Å, I = 10; 70.89°, d = 1.329 Å, I = 11; 77.72°, d = 1.229 Å, I = 6; 78.74°, d = 1.215 Å, I = 8

# Li2CaAs2
Calculated XRD peak list, Cu Kα X-rays. Input: a cell relaxed with PBE.
Kinematic intensities with the Lorentz-polarization factor, no thermal factor.

Cell and atoms:
```
Li2CaAs2
1.0
4.0959 0.0000 0.0000
0.0000 4.1880 0.0000
0.0000 0.0000 11.1697
Li Ca As
4 2 4
Direct
0.2500 0.2500 0.0016
0.2500 0.7500 0.3638
0.7500 0.2500 0.6362
0.7500 0.7500 0.9984
0.2500 0.7500 0.7550
0.7500 0.2500 0.2450
0.2500 0.2500 0.4984
0.2500 0.7500 0.1455
0.7500 0.2500 0.8545
0.7500 0.7500 0.5016
```

Main lines, sorted by position (10 to 90 degrees two-theta):
23.90°, d = 3.723 Å, I = 64; 26.60°, d = 3.351 Å, I = 22; 27.00°, d = 3.303 Å, I = 20; 31.59°, d = 2.833 Å, I = 84; 32.50°, d = 2.755 Å, I = 17; 34.59°, d = 2.593 Å, I = 100; 43.20°, d = 2.094 Å, I = 27; 44.23°, d = 2.048 Å, I = 25; 44.85°, d = 2.021 Å, I = 30; 46.05°, d = 1.971 Å, I = 17; 49.97°, d = 1.825 Å, I = 17; 63.54°, d = 1.464 Å, I = 16

# NaLiCa2As
Calculated XRD peak list, Cu Kα X-rays. Input: a cell relaxed with PBE.
Kinematic intensities with the Lorentz-polarization factor, no thermal factor.

Cell and atoms:
```
NaLiCa2As
1.0
5.7443 0.0000 0.0000
0.0000 5.7443 0.0000
0.0000 0.0000 5.0631
Na Li Ca As
1 1 2 1
Direct
0.0000 0.0000 0.0000
0.5000 0.5000 0.0000
0.0000 0.5000 0.5000
0.5000 0.0000 0.5000
0.5000 0.5000 0.5000
```

Main lines, sorted by position (10 to 90 degrees two-theta):
15.43°, d = 5.744 Å, I = 49; 17.52°, d = 5.063 Å, I = 98; 23.42°, d = 3.798 Å, I = 100; 31.14°, d = 2.872 Å, I = 95; 35.46°, d = 2.532 Å, I = 33; 35.95°, d = 2.498 Å, I = 60; 39.33°, d = 2.291 Å, I = 50; 44.62°, d = 2.031 Å, I = 33; 47.90°, d = 1.899 Å, I = 54; 48.28°, d = 1.885 Å, I = 25; 58.24°, d = 1.584 Å, I = 29; 84.60°, d = 1.145 Å, I = 18

# LiCa2NiAs2
Calculated XRD peak list, Cu Kα X-rays. Input: a cell relaxed with PBE.
Kinematic intensities with the Lorentz-polarization factor, no thermal factor.

Cell and atoms:
```
LiCa2NiAs2
1.0
-2.9581 6.8426 2.9246
2.9581 -6.8426 2.9246
2.9581 6.8426 -2.9246
Li Ca Ni As
2 4 2 4
Direct
0.2500 0.2500 0.0000
0.7500 0.7500 0.0000
0.1613 0.7459 0.9072
0.3387 0.2459 0.5846
0.6613 0.7541 0.4154
0.8387 0.2541 0.0928
0.2500 0.7500 0.5000
0.7500 0.2500 0.5000
0.1092 0.2613 0.3705
0.3908 0.7613 0.1521
0.6092 0.2387 0.8479
0.8908 0.7387 0.6295
```

Main lines, sorted by position (10 to 90 degrees two-theta):
12.94°, d = 6.843 Å, I = 44; 16.32°, d = 5.431 Å, I = 65; 25.05°, d = 3.554 Å, I = 52; 26.04°, d = 3.421 Å, I = 34; 30.21°, d = 2.958 Å, I = 42; 30.57°, d = 2.925 Å, I = 41; 33.93°, d = 2.642 Å, I = 70; 40.30°, d = 2.238 Å, I = 92; 40.58°, d = 2.223 Å, I = 91; 43.51°, d = 2.080 Å, I = 100; 58.32°, d = 1.582 Å, I = 31; 77.52°, d = 1.231 Å, I = 24